Entry 1:
This entry pairs a crystal structure of Li3Cd4Ag4 with its simulated X-ray powder pattern. Radiation: Cu Ka. Structure: a cell relaxed with PBE.
Lines closer than 0.1° are merged.

Most intense lines, 2θ from 10° to 90°, by angle:
- 20.99°, rel. 35, hkl 0 1 1
- 24.21°, rel. 52, hkl 0 0 4
- 37.90°, rel. 77, hkl 1 0 -4
- 38.00°, rel. 79, hkl 1 -1 2
- 38.29°, rel. 100, hkl 1 1 1
- 38.49°, rel. 82, hkl 0 2 -1
- 38.67°, rel. 79, hkl 0 1 5
- 38.90°, rel. 78, hkl 0 1 -6

Crystal structure
Cell: 2.920 4.678 14.921 Å, 98.59 94.32 90.63°
Space group P-1 (No. 2)
Symmetry-distinct sites (fractional):
Li  0.000  0.000  0.000 x1
Li  0.014  0.636  0.272 x2
Cd  0.343  0.549  0.095 x2
Cd  0.416  0.180  0.360 x2
Ag  0.162  0.275  0.551 x2
Ag  0.200  0.909  0.820 x2

Entry 2:
This entry pairs a crystal structure of LiCdAg2 with its simulated X-ray powder pattern. Radiation: Cu Ka. Structure: a cell relaxed with PBE.
Lines closer than 0.1° are merged.

Most intense lines, 2θ from 10° to 90°, by angle:
- 23.21°, rel. 21, hkl 0 1 1
- 23.87°, rel. 25, hkl 1 1 0
- 35.16°, rel. 19, hkl 0 2 1
- 37.51°, rel. 38, hkl 2 0 0
- 40.02°, rel. 100, hkl 1 2 1
- 40.53°, rel. 40, hkl 1 0 2
- 69.37°, rel. 18, hkl 3 2 1
- 76.46°, rel. 17, hkl 2 2 3

Crystal structure
Cell: 4.795 5.925 5.025 Å, 90.00 90.00 90.00°
Space group Pmmn (No. 59, origin choice 2)
Symmetry-distinct sites (fractional):
Li  0.250  0.250  0.185 x2
Cd  0.250  0.750  0.173 x2
Ag  0.250  0.000  0.676 x4